No. 1
For MgFe4Co2O12, a PBE+U-relaxed structure gives the simulated powder XRD pattern in this record (Cu Kα).

Most intense lines, 2θ from 5° to 70°, low angle first:
2θ (°), d [Å], I_rel
21.9, 4.061, 100
28.3, 3.150, 97
30.9, 2.891, 14
36.0, 2.498, 36
36.1, 2.488, 17
36.7, 2.449, 27
37.3, 2.410, 14
39.3, 2.293, 15
47.7, 1.906, 14
55.3, 1.663, 22
55.8, 1.648, 17
58.6, 1.575, 19

Structure:
```
MgFe4Co2O12
1.0
5.1402 0.0000 0.0000
1.2813 4.9811 0.0000
0.2520 0.1937 8.5492
Mg Fe Co O
1 4 2 12
direct
0.0000 0.0000 0.0000 Mg
0.2956 0.2915 0.6502 Fe
0.3353 0.3319 0.9941 Fe
0.7113 0.7064 0.1820 Fe
0.8902 0.8860 0.4862 Fe
0.3025 0.2979 0.3274 Co
0.7251 0.7209 0.8162 Co
0.0032 0.6065 0.3264 O
0.1288 0.1245 0.4845 O
0.1659 0.1634 0.1564 O
0.1710 0.1686 0.8398 O
0.4462 0.4412 0.4807 O
0.4796 0.4737 0.1646 O
0.5033 0.4976 0.8292 O
0.6107 0.9984 0.3262 O
0.6203 0.9798 0.9918 O
0.6232 0.9945 0.6604 O
0.9848 0.6188 0.9918 O
0.9986 0.6191 0.6602 O
```


No. 2
For MgFe4Co2O8, a PBE+U-relaxed structure gives the simulated powder XRD pattern in this record (Cu Kα).

Most intense lines, 2θ from 5° to 70°, low angle first:
2θ (°), d [Å], I_rel
29.9, 2.990, 40
33.1, 2.710, 13
33.8, 2.650, 26
34.4, 2.604, 100
35.1, 2.556, 49
41.6, 2.170, 58
45.8, 1.983, 20
53.7, 1.708, 28
56.0, 1.641, 23
58.5, 1.577, 34
60.9, 1.521, 17
62.1, 1.495, 47

Structure:
```
MgFe4Co2O8
1.0
2.9901 1.7264 5.2996
-2.9901 1.7264 5.2996
0.0000 -3.4527 5.2996
Mg Fe Co O
1 4 2 8
direct
0.0000 0.0000 0.0000 Mg
0.0000 0.5000 0.5000 Fe
0.5000 0.0000 0.5000 Fe
0.5000 0.5000 0.0000 Fe
0.5000 0.5000 0.5000 Fe
0.1524 0.1524 0.1524 Co
0.8476 0.8476 0.8476 Co
0.2434 0.2434 0.7466 O
0.2434 0.7466 0.2434 O
0.2534 0.7566 0.7566 O
0.2698 0.2698 0.2698 O
0.7302 0.7302 0.7302 O
0.7466 0.2434 0.2434 O
0.7566 0.2534 0.7566 O
0.7566 0.7566 0.2534 O
```


No. 3
For MgFe4Co2O8, a PBE+U-relaxed structure gives the simulated powder XRD pattern in this record (Cu Kα).

Most intense lines, 2θ from 5° to 70°, low angle first:
2θ (°), d [Å], I_rel
16.9, 5.236, 27
27.8, 3.206, 75
32.8, 2.734, 100
34.3, 2.618, 8
39.8, 2.267, 18
43.5, 2.080, 11
44.7, 2.028, 8
49.2, 1.851, 31
52.4, 1.745, 57
57.5, 1.603, 64
61.3, 1.511, 6
67.8, 1.383, 6

Structure:
```
MgFe4Co2O8
1.0
0.0000 4.5341 4.5341
4.5341 0.0000 4.5341
4.5341 4.5341 0.0000
Mg Fe Co O
1 4 2 8
direct
0.0000 0.0000 0.0000 Mg
0.4324 0.8558 0.8558 Fe
0.8558 0.4324 0.8558 Fe
0.8558 0.8558 0.4324 Fe
0.8558 0.8558 0.8558 Fe
0.2500 0.2500 0.2500 Co
0.5000 0.5000 0.5000 Co
0.1035 0.6322 0.6322 O
0.1187 0.1187 0.1187 O
0.1187 0.1187 0.6438 O
0.1187 0.6438 0.1187 O
0.6322 0.1035 0.6322 O
0.6322 0.6322 0.1035 O
0.6322 0.6322 0.6322 O
0.6438 0.1187 0.1187 O
```